1.
Simulated X-ray diffraction stick pattern
Compound: Li3Mg3Cd4
Radiation: Cu Kα (weighted mean of Kα1 and Kα2)
Structure: DFT lattice parameters and positions (PBE)
No peak broadening, texture or thermal motion is included.

Crystal structure
Unit cell a=8.1410 b=8.1410 c=8.1410 alpha=109.47 beta=109.47 gamma=109.47
Positions (direct):
Li: 0.1250 0.7500 0.8750
Li: 0.2500 0.6250 0.3750
Li: 0.3750 0.2500 0.6250
Li: 0.6250 0.3750 0.2500
Li: 0.7500 0.8750 0.1250
Li: 0.8750 0.1250 0.7500
Mg: 0.1250 0.8750 0.2500
Mg: 0.2500 0.1250 0.8750
Mg: 0.3750 0.6250 0.7500
Mg: 0.6250 0.7500 0.3750
Mg: 0.7500 0.3750 0.6250
Mg: 0.8750 0.2500 0.1250
Cd: 0.0000 0.2138 0.5000
Cd: 0.0000 0.7138 0.5000
Cd: 0.2138 0.5000 0.0000
Cd: 0.2862 0.2862 0.2862
Cd: 0.5000 0.0000 0.2138
Cd: 0.5000 0.0000 0.7138
Cd: 0.7138 0.5000 0.0000
Cd: 0.7862 0.7862 0.7862

Most intense lines, 5° ≤ 2θ ≤ 70°, low angle first:
| 2θ (°) | I/Imax |
| --- | --- |
| 23.18 | 84 |
| 30.06 | 21 |
| 35.74 | 100 |
| 38.30 | 23 |
| 47.38 | 12 |
| 53.38 | 20 |
| 60.73 | 21 |
| 67.59 | 14 |

=====

2.
Simulated X-ray diffraction stick pattern
Compound: Tl3Sb2
Radiation: Cu Kα (weighted mean of Kα1 and Kα2)
Structure: DFT lattice parameters and positions (PBE)
No peak broadening, texture or thermal motion is included.

Crystal structure
Unit cell a=7.3677 b=7.3677 c=7.3677 alpha=70.48 beta=70.48 gamma=70.48
Positions (direct):
Tl: 0.0055 0.7500 0.4945
Tl: 0.2500 0.5055 0.9945
Tl: 0.4945 0.0055 0.7500
Tl: 0.5055 0.9945 0.2500
Tl: 0.7500 0.4945 0.0055
Tl: 0.9945 0.2500 0.5055
Sb: 0.0886 0.0886 0.0886
Sb: 0.4114 0.4114 0.4114
Sb: 0.5886 0.5886 0.5886
Sb: 0.9114 0.9114 0.9114

Most intense lines, 5° ≤ 2θ ≤ 70°, low angle first:
| 2θ (°) | I/Imax |
| --- | --- |
| 26.51 | 100 |
| 32.62 | 88 |
| 34.00 | 21 |
| 36.61 | 23 |
| 42.51 | 20 |
| 50.80 | 24 |
| 54.59 | 28 |
| 68.34 | 21 |

=====

3.
Simulated X-ray diffraction stick pattern
Compound: Rb3Np2S9
Radiation: Cu Kα (weighted mean of Kα1 and Kα2)
Structure: DFT lattice parameters and positions (PBE)
No peak broadening, texture or thermal motion is included.

Crystal structure
Unit cell a=7.2454 b=7.2454 c=9.1079 alpha=90.00 beta=90.00 gamma=120.00
Positions (direct):
Rb: 0.0000 0.0000 0.0000
Rb: 0.3333 0.6667 0.3510
Rb: 0.6667 0.3333 0.6490
Np: 0.3333 0.6667 0.8342
Np: 0.6667 0.3333 0.1658
S: 0.0000 0.5000 0.0000
S: 0.1753 0.3507 0.6845
S: 0.1753 0.8247 0.6845
S: 0.3507 0.1753 0.3155
S: 0.5000 0.0000 0.0000
S: 0.5000 0.5000 0.0000
S: 0.6493 0.8247 0.6845
S: 0.8247 0.1753 0.3155
S: 0.8247 0.6493 0.3155

Most intense lines, 5° ≤ 2θ ≤ 70°, low angle first:
| 2θ (°) | I/Imax |
| --- | --- |
| 9.71 | 32 |
| 14.11 | 45 |
| 17.16 | 81 |
| 24.15 | 100 |
| 24.57 | 81 |
| 34.72 | 94 |
| 43.00 | 47 |
| 49.46 | 32 |